For LiCa2FeO, a structure optimized by DFT (PBE+U) gives the computed X-ray diffraction stick pattern in this record (Cu Kα X-rays).

Structural model:
Unit cell a=6.112 b=6.112 c=3.644 alpha=90.00 beta=90.00 gamma=90.00
Space group P4/mmm (No. 123)
One atom of each set of equivalent atoms:
Li: 0.000 0.000 0.000 (multiplicity 1)
Ca: 0.000 0.500 0.500 (multiplicity 2)
Fe: 0.500 0.500 0.500 (multiplicity 1)
O: 0.500 0.500 0.000 (multiplicity 1)

Largest 10 diffraction maxima, by angle, 2θ = 10–90°:
14.49 deg, d 6.112, I 100, hkl 1 0 0; 24.43 deg, d 3.644, I 41, hkl 0 0 1; 28.52 deg, d 3.130, I 16, hkl 1 0 1; 29.22 deg, d 3.056, I 97, hkl 2 0 0; 32.77 deg, d 2.733, I 26, hkl 2 1 0; 38.45 deg, d 2.341, I 48, hkl 2 0 1; 41.80 deg, d 2.161, I 34, hkl 2 2 0; 49.01 deg, d 1.859, I 23, hkl 2 2 1; 59.03 deg, d 1.565, I 22, hkl 2 0 2; 67.21 deg, d 1.393, I 14, hkl 2 2 2